Record 1
This entry pairs a crystal structure of NpSi2Pd2 with its computed powder diffraction line list. Radiation: Cu Kα (λ = 1.5418 Å). Structure: the GGA-PBE geometry in the Materials Project.
Intensities are scaled so that the largest is 100.

```
data_NpSi2Pd2
_chemical_formula_sum 'Np1 Si2 Pd2'
_space_group_name_H-M_alt 'P 1'
_space_group_IT_number 1
_cell_length_a 5.912
_cell_length_b 5.912
_cell_length_c 5.912
_cell_angle_alpha 139.55
_cell_angle_beta 139.55
_cell_angle_gamma 58.54
loop_
_space_group_symop_operation_xyz
'x,y,z'
loop_
_atom_site_label
_atom_site_type_symbol
_atom_site_fract_x
_atom_site_fract_y
_atom_site_fract_z
Np1 Np 0.000 0.000 0.000
Si1 Si 0.388 0.388 0.000
Si2 Si 0.612 0.612 0.000
Pd1 Pd 0.250 0.750 0.500
Pd2 Pd 0.750 0.250 0.500
```

Top 10 peaks for 2θ from 5° to 70°, sorted by position:
23.41 deg, I = 46.8
34.07 deg, I = 36.7
34.79 deg, I = 19.7
35.61 deg, I = 100.0
44.32 deg, I = 33.1
49.49 deg, I = 15.3
50.72 deg, I = 12.9
57.06 deg, I = 17.2
57.54 deg, I = 18.9
62.90 deg, I = 16.5

=====

Record 2
This entry pairs a crystal structure of DyMgAu2 with its computed powder diffraction line list. Radiation: Cu Kα (λ = 1.5418 Å). Structure: the GGA-PBE geometry in the Materials Project.
Intensities are scaled so that the largest is 100.

```
data_DyMgAu2
_chemical_formula_sum 'Dy1 Mg1 Au2'
_space_group_name_H-M_alt 'P 1'
_space_group_IT_number 1
_cell_length_a 4.912
_cell_length_b 4.912
_cell_length_c 4.912
_cell_angle_alpha 60.00
_cell_angle_beta 60.00
_cell_angle_gamma 60.00
loop_
_space_group_symop_operation_xyz
'x,y,z'
loop_
_atom_site_label
_atom_site_type_symbol
_atom_site_fract_x
_atom_site_fract_y
_atom_site_fract_z
Dy1 Dy 0.000 0.000 0.000
Mg1 Mg 0.500 0.500 0.500
Au1 Au 0.250 0.250 0.250
Au2 Au 0.750 0.750 0.750
```

Top 9 peaks for 2θ from 5° to 70°, sorted by position:
22.17 deg, I = 12.6
25.65 deg, I = 15.9
36.59 deg, I = 100.0
43.20 deg, I = 6.7
45.22 deg, I = 4.9
52.71 deg, I = 17.7
57.86 deg, I = 2.9
59.52 deg, I = 6.7
65.87 deg, I = 36.4

=====

Record 3
This entry pairs a crystal structure of SbCl3F2 with its computed powder diffraction line list. Radiation: Cu Kα (λ = 1.5418 Å). Structure: the GGA-PBE geometry in the Materials Project.
Intensities are scaled so that the largest is 100.

```
data_SbCl3F2
_chemical_formula_sum 'Sb4 Cl12 F8'
_space_group_name_H-M_alt 'P 1'
_space_group_IT_number 1
_cell_length_a 10.162
_cell_length_b 10.162
_cell_length_c 10.162
_cell_angle_alpha 97.87
_cell_angle_beta 97.87
_cell_angle_gamma 136.56
loop_
_space_group_symop_operation_xyz
'x,y,z'
loop_
_atom_site_label
_atom_site_type_symbol
_atom_site_fract_x
_atom_site_fract_y
_atom_site_fract_z
Sb1 Sb 0.517 0.282 0.328
Sb2 Sb 0.718 0.047 0.235
Sb3 Sb 0.812 0.483 0.765
Sb4 Sb 0.953 0.188 0.672
Cl1 Cl 0.027 0.383 0.273
Cl2 Cl 0.044 0.046 0.599
Cl3 Cl 0.095 0.298 0.915
Cl4 Cl 0.110 0.754 0.727
Cl5 Cl 0.246 0.973 0.356
Cl6 Cl 0.382 0.180 0.085
Cl7 Cl 0.447 0.446 0.401
Cl8 Cl 0.554 0.956 0.001
Cl9 Cl 0.617 0.890 0.644
Cl10 Cl 0.702 0.618 0.797
Cl11 Cl 0.820 0.905 0.203
Cl12 Cl 0.954 0.553 0.999
F1 F 0.186 0.446 0.660
F2 F 0.474 0.814 0.260
F3 F 0.554 0.214 0.740
F4 F 0.626 0.169 0.301
F5 F 0.675 0.374 0.542
F6 F 0.786 0.526 0.340
F7 F 0.831 0.133 0.458
F8 F 0.867 0.325 0.699
```

Top 10 peaks for 2θ from 5° to 70°, sorted by position:
13.51 deg, I = 100.0
18.80 deg, I = 42.0
18.98 deg, I = 45.2
21.04 deg, I = 28.5
23.66 deg, I = 28.1
26.84 deg, I = 42.0
29.93 deg, I = 18.7
39.35 deg, I = 17.9
43.60 deg, I = 18.1
49.25 deg, I = 17.5

=====

Record 4
This entry pairs a crystal structure of UPbI6 with its computed powder diffraction line list. Radiation: Cu Kα (λ = 1.5418 Å). Structure: the GGA-PBE geometry in the Materials Project.
Intensities are scaled so that the largest is 100.

```
data_UPbI6
_chemical_formula_sum 'U2 Pb2 I12'
_space_group_name_H-M_alt 'P 1'
_space_group_IT_number 1
_cell_length_a 7.766
_cell_length_b 7.766
_cell_length_c 14.347
_cell_angle_alpha 90.00
_cell_angle_beta 90.00
_cell_angle_gamma 120.00
loop_
_space_group_symop_operation_xyz
'x,y,z'
loop_
_atom_site_label
_atom_site_type_symbol
_atom_site_fract_x
_atom_site_fract_y
_atom_site_fract_z
U1 U 0.000 0.000 0.000
U2 U 0.000 0.000 0.500
Pb1 Pb 0.333 0.667 0.250
Pb2 Pb 0.667 0.333 0.750
I1 I 0.014 0.328 0.880
I2 I 0.014 0.686 0.620
I3 I 0.314 0.328 0.620
I4 I 0.314 0.986 0.880
I5 I 0.328 0.014 0.380
I6 I 0.328 0.314 0.120
I7 I 0.672 0.686 0.880
I8 I 0.672 0.986 0.620
I9 I 0.686 0.014 0.120
I10 I 0.686 0.672 0.380
I11 I 0.986 0.314 0.380
I12 I 0.986 0.672 0.120
```

Top 10 peaks for 2θ from 5° to 70°, sorted by position:
14.55 deg, I = 21.5
18.08 deg, I = 60.9
26.10 deg, I = 100.0
34.02 deg, I = 82.7
37.54 deg, I = 21.6
40.22 deg, I = 55.9
44.50 deg, I = 23.0
53.68 deg, I = 20.7
66.80 deg, I = 22.1
69.16 deg, I = 19.6

=====

Record 5
This entry pairs a crystal structure of Te4MoW3Se2S2 with its computed powder diffraction line list. Radiation: Cu Kα (λ = 1.5418 Å). Structure: the GGA-PBE geometry in the Materials Project.
Intensities are scaled so that the largest is 100.

```
data_Te4MoW3Se2S2
_chemical_formula_sum 'Te4 Mo1 W3 Se2 S2'
_space_group_name_H-M_alt 'P 1'
_space_group_IT_number 1
_cell_length_a 3.395
_cell_length_b 3.395
_cell_length_c 38.743
_cell_angle_alpha 90.00
_cell_angle_beta 90.00
_cell_angle_gamma 120.00
loop_
_space_group_symop_operation_xyz
'x,y,z'
loop_
_atom_site_label
_atom_site_type_symbol
_atom_site_fract_x
_atom_site_fract_y
_atom_site_fract_z
Te1 Te 0.000 0.000 0.000
Te2 Te 0.000 0.000 0.097
Te3 Te 0.000 0.000 0.375
Te4 Te 0.000 0.000 0.473
Mo1 Mo 0.333 0.667 0.048
W1 W 0.000 0.000 0.236
W2 W 0.000 0.000 0.860
W3 W 0.333 0.667 0.424
Se1 Se 0.333 0.667 0.193
Se2 Se 0.333 0.667 0.279
S1 S 0.333 0.667 0.822
S2 S 0.333 0.667 0.899
```

Top 10 peaks for 2θ from 5° to 70°, sorted by position:
6.84 deg, I = 31.4
11.42 deg, I = 100.0
13.71 deg, I = 14.5
30.42 deg, I = 49.6
32.57 deg, I = 14.5
35.72 deg, I = 91.3
43.22 deg, I = 49.7
44.98 deg, I = 16.2
54.03 deg, I = 31.7
66.46 deg, I = 14.8

=====

Record 6
This entry pairs a crystal structure of Li4H7RhS3O13 with its computed powder diffraction line list. Radiation: Cu Kα (λ = 1.5418 Å). Structure: the GGA-PBE geometry in the Materials Project.
Intensities are scaled so that the largest is 100.

```
data_Li4H7RhS3O13
_chemical_formula_sum 'Li4 H7 Rh1 S3 O13'
_space_group_name_H-M_alt 'P 1'
_space_group_IT_number 1
_cell_length_a 8.102
_cell_length_b 8.102
_cell_length_c 8.102
_cell_angle_alpha 69.63
_cell_angle_beta 69.63
_cell_angle_gamma 69.63
loop_
_space_group_symop_operation_xyz
'x,y,z'
loop_
_atom_site_label
_atom_site_type_symbol
_atom_site_fract_x
_atom_site_fract_y
_atom_site_fract_z
Li1 Li 0.000 0.000 0.000
Li2 Li 0.482 0.856 0.713
Li3 Li 0.713 0.482 0.856
Li4 Li 0.856 0.713 0.482
H1 H 0.150 0.667 0.375
H2 H 0.188 0.545 0.561
H3 H 0.375 0.150 0.667
H4 H 0.545 0.561 0.188
H5 H 0.561 0.188 0.545
H6 H 0.667 0.375 0.150
H7 H 0.778 0.778 0.778
Rh1 Rh 0.322 0.322 0.322
S1 S 0.428 0.738 0.485
S2 S 0.485 0.428 0.738
S3 S 0.738 0.485 0.428
O1 O 0.140 0.548 0.464
O2 O 0.190 0.943 0.768
O3 O 0.264 0.981 0.874
O4 O 0.289 0.515 0.829
O5 O 0.464 0.140 0.548
O6 O 0.515 0.829 0.289
O7 O 0.548 0.464 0.140
O8 O 0.725 0.725 0.725
O9 O 0.768 0.190 0.943
O10 O 0.829 0.289 0.515
O11 O 0.874 0.264 0.981
O12 O 0.943 0.768 0.190
O13 O 0.981 0.874 0.264
```

Top 10 peaks for 2θ from 5° to 70°, sorted by position:
12.06 deg, I = 100.0
14.54 deg, I = 41.4
19.19 deg, I = 32.9
22.40 deg, I = 38.4
24.16 deg, I = 46.3
24.26 deg, I = 29.2
26.81 deg, I = 32.0
29.66 deg, I = 22.9
31.12 deg, I = 61.0
41.82 deg, I = 29.0

=====

Record 7
This entry pairs a crystal structure of BaTlHg2 with its computed powder diffraction line list. Radiation: Cu Kα (λ = 1.5418 Å). Structure: the GGA-PBE geometry in the Materials Project.
Intensities are scaled so that the largest is 100.

```
data_BaTlHg2
_chemical_formula_sum 'Ba1 Tl1 Hg2'
_space_group_name_H-M_alt 'P 1'
_space_group_IT_number 1
_cell_length_a 5.646
_cell_length_b 5.646
_cell_length_c 5.646
_cell_angle_alpha 60.00
_cell_angle_beta 60.00
_cell_angle_gamma 60.00
loop_
_space_group_symop_operation_xyz
'x,y,z'
loop_
_atom_site_label
_atom_site_type_symbol
_atom_site_fract_x
_atom_site_fract_y
_atom_site_fract_z
Ba1 Ba 0.000 0.000 0.000
Tl1 Tl 0.500 0.500 0.500
Hg1 Hg 0.250 0.250 0.250
Hg2 Hg 0.750 0.750 0.750
```

Top 9 peaks for 2θ from 5° to 70°, sorted by position:
19.25 deg, I = 1.8
22.27 deg, I = 1.0
31.70 deg, I = 100.0
37.35 deg, I = 1.1
45.44 deg, I = 18.7
49.78 deg, I = 0.5
51.16 deg, I = 0.5
56.46 deg, I = 39.7
66.21 deg, I = 12.4

=====

> Number 2 is which compound?

DyMgAu2